The following is a computed powder X-ray diffraction pattern of Sr2CeFeO6. It was derived from a DFT-relaxed cell (PBE+U, the Materials Project), using λ = 1.5418 Å (Cu Kα).
Kinematic intensities with the Lorentz-polarization factor, no thermal factor.

Peak list (10 most intense, 10° ≤ 2θ ≤ 90°, sorted by position)
hkl	2θ/deg	d/Å	I (rel.)
1 1 1	18.51	4.792	93
2 2 0	30.46	2.935	1000
3 1 1	35.88	2.503	75
4 0 0	43.62	2.075	344
3 3 1	47.76	1.904	43
4 2 2	54.13	1.694	395
4 4 0	63.39	1.467	206
6 2 0	71.94	1.312	174
4 4 4	80.10	1.198	67
6 4 2	88.05	1.109	210

Structural model:
```
data_Sr2CeFeO6
_chemical_formula_sum 'Sr8 Ce4 Fe4 O24'
_cell_length_a 8.301
_cell_length_b 8.301
_cell_length_c 8.301
_cell_angle_alpha 90.00
_cell_angle_beta 90.00
_cell_angle_gamma 90.00
_symmetry_space_group_name_H-M 'F m -3 m'
_symmetry_Int_Tables_number 225
_symmetry_space_group_name_Hall '-F 4 2 3'
loop_
_atom_site_label
_atom_site_fract_x
_atom_site_fract_y
_atom_site_fract_z
Sr1 0.250 0.250 0.250
Ce1 0.000 0.000 0.000
Fe1 0.000 0.000 0.500
O1 0.000 0.000 0.263
```

---

The following is a computed powder X-ray diffraction pattern of CrO2. It was derived from a DFT-relaxed cell (PBE+U, the Materials Project), using λ = 1.5418 Å (Cu Kα).
Kinematic intensities with the Lorentz-polarization factor, no thermal factor.

Peak list (10 most intense, 10° ≤ 2θ ≤ 90°, sorted by position)
hkl	2θ/deg	d/Å	I (rel.)
1 0 1	20.96	4.238	1000
3 0 1	34.57	2.594	280
2 1 0	35.56	2.525	191
1 1 1	36.62	2.454	377
2 1 1	40.43	2.231	124
2 1 2	52.84	1.733	316
4 0 2	55.27	1.662	131
0 2 0	61.65	1.504	89
5 1 1	61.88	1.499	154
6 1 0	68.17	1.376	90

Structural model:
```
data_CrO2
_chemical_formula_sum 'Cr4 O8'
_cell_length_a 9.279
_cell_length_b 3.009
_cell_length_c 4.764
_cell_angle_alpha 90.00
_cell_angle_beta 90.00
_cell_angle_gamma 90.00
_symmetry_space_group_name_H-M 'P n m a'
_symmetry_Int_Tables_number 62
loop_
_symmetry_equiv_pos_as_xyz
'x,y,z'
'-x,-y,-z'
'-x+1/2,-y,z+1/2'
'x+1/2,y,-z+1/2'
'x+1/2,-y+1/2,-z+1/2'
'-x+1/2,y+1/2,z+1/2'
'-x,y+1/2,-z'
'x,-y+1/2,z'
loop_
_atom_site_label
_atom_site_fract_x
_atom_site_fract_y
_atom_site_fract_z
Cr1 0.140 0.250 0.023
O1 0.047 0.750 0.820
O2 0.216 0.750 0.241
```

---

The following is a computed powder X-ray diffraction pattern of Sr2FeO3F. It was derived from a DFT-relaxed cell (PBE+U, the Materials Project), using λ = 1.5418 Å (Cu Kα).
Kinematic intensities with the Lorentz-polarization factor, no thermal factor.

Peak list (10 most intense, 10° ≤ 2θ ≤ 90°, sorted by position)
hkl	2θ/deg	d/Å	I (rel.)
0 0 2	13.37	6.621	154
1 0 3	30.46	2.935	1000
1 1 0	32.21	2.779	925
1 0 4	35.46	2.532	150
1 0 5	41.10	2.196	334
1 1 4	42.47	2.128	359
2 0 0	46.20	1.965	520
2 1 3	56.35	1.633	359
2 1 5	63.53	1.464	166
2 2 0	67.40	1.389	152

Structural model:
```
data_Sr2FeO3F
_chemical_formula_sum 'Sr4 Fe2 O6 F2'
_cell_length_a 3.930
_cell_length_b 3.930
_cell_length_c 13.241
_cell_angle_alpha 90.00
_cell_angle_beta 90.00
_cell_angle_gamma 90.00
_symmetry_space_group_name_H-M 'P 4/n m m'
_symmetry_Int_Tables_number 129
loop_
_symmetry_equiv_pos_as_xyz
'x,y,z'
'-x,-y,-z'
'-y+1/2,x,z'
'y+1/2,-x,-z'
'-x+1/2,-y+1/2,z'
'x+1/2,y+1/2,-z'
'y,-x+1/2,z'
'-y,x+1/2,-z'
'x+1/2,-y,-z'
'-x+1/2,y,z'
'-y,-x,-z'
'y,x,z'
'-x,y+1/2,-z'
'x,-y+1/2,z'
'y+1/2,x+1/2,-z'
'-y+1/2,-x+1/2,z'
loop_
_atom_site_label
_atom_site_fract_x
_atom_site_fract_y
_atom_site_fract_z
Sr1 0.250 0.250 0.104
Sr2 0.250 0.250 0.376
Fe1 0.250 0.250 0.772
O1 0.250 0.250 0.918
O2 0.250 0.750 0.254
F1 0.250 0.250 0.565
```

---

The following is a computed powder X-ray diffraction pattern of Li3Fe8B8O24. It was derived from a DFT-relaxed cell (PBE+U, the Materials Project), using λ = 1.5418 Å (Cu Kα).
Kinematic intensities with the Lorentz-polarization factor, no thermal factor.

Peak list (10 most intense, 10° ≤ 2θ ≤ 90°, sorted by position)
hkl	2θ/deg	d/Å	I (rel.)
1 1 0	19.39	4.577	385
0 2 0	19.53	4.546	626
-1 1 1	21.33	4.165	1000
1 1 2	26.12	3.412	287
1 -1 2	26.30	3.389	717
1 3 0	34.02	2.635	283
1 -3 0	34.15	2.625	241
0 0 4	35.47	2.531	710
2 0 2	38.31	2.349	242
2 -2 1	40.54	2.225	292

Structural model:
```
data_Li3Fe8B8O24
_chemical_formula_sum 'Li3 Fe8 B8 O24'
_cell_length_a 5.297
_cell_length_b 9.092
_cell_length_c 10.124
_cell_angle_alpha 89.42
_cell_angle_beta 89.81
_cell_angle_gamma 89.74
_symmetry_space_group_name_H-M 'P 1'
_symmetry_Int_Tables_number 1
loop_
_symmetry_equiv_pos_as_xyz
'x,y,z'
loop_
_atom_site_label
_atom_site_fract_x
_atom_site_fract_y
_atom_site_fract_z
Li1 0.000 0.000 0.000
Li2 0.007 0.979 0.499
Li3 0.511 0.484 0.510
Fe1 0.016 0.337 0.035
Fe2 0.017 0.648 0.542
Fe3 0.201 0.824 0.786
Fe4 0.205 0.165 0.288
Fe5 0.513 0.830 0.038
Fe6 0.516 0.147 0.540
Fe7 0.690 0.329 0.786
Fe8 0.700 0.664 0.288
B1 0.016 0.664 0.038
B2 0.021 0.321 0.537
B3 0.192 0.164 0.795
B4 0.193 0.825 0.293
B5 0.520 0.823 0.538
B6 0.530 0.164 0.036
B7 0.693 0.662 0.785
B8 0.700 0.326 0.290
O1 0.044 0.284 0.837
O2 0.045 0.709 0.337
O3 0.100 0.025 0.810
O4 0.103 0.967 0.305
O5 0.125 0.188 0.489
O6 0.130 0.529 0.028
O7 0.131 0.793 0.989
O8 0.158 0.446 0.534
O9 0.267 0.827 0.584
O10 0.271 0.175 0.079
O11 0.428 0.190 0.743
O12 0.431 0.800 0.243
O13 0.548 0.780 0.829
O14 0.554 0.205 0.327
O15 0.590 0.525 0.778
O16 0.617 0.463 0.317
O17 0.623 0.690 0.495
O18 0.649 0.033 0.037
O19 0.651 0.293 0.993
O20 0.660 0.949 0.536
O21 0.771 0.318 0.585
O22 0.781 0.678 0.097
O23 0.937 0.301 0.232
O24 0.939 0.685 0.744
```

---

The following is a computed powder X-ray diffraction pattern of Li3Mn4B4O12. It was derived from a DFT-relaxed cell (PBE+U, the Materials Project), using λ = 1.5418 Å (Cu Kα).
Kinematic intensities with the Lorentz-polarization factor, no thermal factor.

Peak list (10 most intense, 10° ≤ 2θ ≤ 90°, sorted by position)
hkl	2θ/deg	d/Å	I (rel.)
1 -1 0	19.38	4.579	637
0 2 -1	19.49	4.554	369
0 2 -2	21.48	4.136	768
1 1 1	25.57	3.484	664
0 2 -3	26.27	3.392	351
1 -3 1	33.97	2.639	699
0 0 4	34.26	2.617	1000
1 3 0	37.86	2.376	336
2 2 -1	40.31	2.237	747
0 2 -6	48.30	1.884	320

Structural model:
```
data_Li3Mn4B4O12
_chemical_formula_sum 'Li6 Mn8 B8 O24'
_cell_length_a 5.281
_cell_length_b 9.109
_cell_length_c 11.572
_cell_angle_alpha 111.75
_cell_angle_beta 102.01
_cell_angle_gamma 90.31
_symmetry_space_group_name_H-M 'P 1'
_symmetry_Int_Tables_number 1
loop_
_symmetry_equiv_pos_as_xyz
'x,y,z'
loop_
_atom_site_label
_atom_site_fract_x
_atom_site_fract_y
_atom_site_fract_z
Li1 0.000 0.000 0.000
Li2 0.017 0.019 0.741
Li3 0.309 0.264 0.230
Li4 0.523 0.507 0.737
Li5 0.754 0.728 0.491
Li6 0.809 0.756 0.232
Mn1 0.021 0.345 0.018
Mn2 0.044 0.700 0.766
Mn3 0.242 0.925 0.509
Mn4 0.319 0.618 0.269
Mn5 0.506 0.817 0.021
Mn6 0.551 0.191 0.777
Mn7 0.770 0.407 0.520
Mn8 0.813 0.113 0.271
B1 0.033 0.680 0.031
B2 0.055 0.363 0.771
B3 0.278 0.603 0.534
B4 0.300 0.948 0.256
B5 0.517 0.155 0.017
B6 0.558 0.877 0.794
B7 0.746 0.079 0.536
B8 0.822 0.457 0.277
O1 0.030 0.619 0.564
O2 0.047 0.422 0.230
O3 0.126 0.788 0.985
O4 0.188 0.574 0.062
O5 0.190 0.851 0.306
O6 0.191 0.080 0.250
O7 0.270 0.173 0.036
O8 0.314 0.363 0.772
O9 0.365 0.700 0.478
O10 0.383 0.972 0.755
O11 0.434 0.499 0.564
O12 0.461 0.759 0.832
O13 0.527 0.117 0.592
O14 0.532 0.902 0.212
O15 0.630 0.245 0.962
O16 0.671 0.050 0.056
O17 0.695 0.345 0.307
O18 0.722 0.603 0.296
O19 0.784 0.689 0.048
O20 0.808 0.164 0.468
O21 0.817 0.893 0.797
O22 0.881 0.955 0.549
O23 0.900 0.470 0.738
O24 0.941 0.250 0.806
```

---

The following is a computed powder X-ray diffraction pattern of Li3Fe2CoO6. It was derived from a DFT-relaxed cell (PBE+U, the Materials Project), using λ = 1.5418 Å (Cu Kα).
Kinematic intensities with the Lorentz-polarization factor, no thermal factor.

Peak list (10 most intense, 10° ≤ 2θ ≤ 90°, sorted by position)
hkl	2θ/deg	d/Å	I (rel.)
0 0 1	18.25	4.862	1000
2 0 -1	35.92	2.500	412
2 0 0	37.53	2.397	137
1 3 1	43.45	2.083	756
1 3 -2	47.49	1.915	139
1 3 2	57.20	1.610	141
2 0 2	62.75	1.481	205
3 3 -1	63.50	1.465	205
3 3 0	66.66	1.403	94
4 0 0	80.08	1.198	93

Structural model:
```
data_Li3Fe2CoO6
_chemical_formula_sum 'Li6 Fe4 Co2 O12'
_cell_length_a 5.074
_cell_length_b 8.791
_cell_length_c 5.146
_cell_angle_alpha 90.00
_cell_angle_beta 109.10
_cell_angle_gamma 90.00
_symmetry_space_group_name_H-M 'C 1 2/m 1'
_symmetry_Int_Tables_number 12
loop_
_symmetry_equiv_pos_as_xyz
'x,y,z'
'-x,-y,-z'
'-x,y,-z'
'x,-y,z'
'x+1/2,y+1/2,z'
'-x+1/2,-y+1/2,-z'
'-x+1/2,y+1/2,-z'
'x+1/2,-y+1/2,z'
loop_
_atom_site_label
_atom_site_fract_x
_atom_site_fract_y
_atom_site_fract_z
Li1 0.000 0.000 0.000
Li2 0.000 0.340 0.000
Fe1 0.000 0.167 0.500
Co1 0.000 0.500 0.500
O1 0.236 0.339 0.727
O2 0.247 0.500 0.276
```